This entry pairs a crystal structure of Tb2Mn3Sb3O14 with its calculated X-ray powder pattern. Radiation: a wavelength of 1.5418 Å. Structure: a GGA+U-relaxed structure.

Cell and atoms:
```
data_Tb2Mn3Sb3O14
_symmetry_space_group_name_H-M 'C 1 2/m 1'
_symmetry_Int_Tables_number 12
_cell_length_a 12.3630
_cell_length_b 7.3697
_cell_length_c 7.2965
_cell_angle_alpha 90.00
_cell_angle_beta 124.04
_cell_angle_gamma 90.00
loop_
_symmetry_equiv_pos_as_xyz
'x,y,z'
'-x,-y,-z'
'-x,y,-z'
'x,-y,z'
'x+1/2,y+1/2,z'
'-x+1/2,-y+1/2,-z'
'-x+1/2,y+1/2,-z'
'x+1/2,-y+1/2,z'
loop_
_atom_site_label
_atom_site_fract_x
_atom_site_fract_y
_atom_site_fract_z
Tb1 0.2500 0.2500 0.0000
Mn1 0.0000 0.0000 0.0000
Mn2 0.0000 0.0000 0.5000
Mn3 0.0000 0.5000 0.5000
Sb1 0.0000 0.5000 0.0000
Sb2 0.2500 0.2500 0.5000
O1 0.0912 0.5000 0.8520
O2 0.1167 0.0000 0.8698
O3 0.1248 0.2956 0.1744
O4 0.1275 0.3006 0.5870
O5 0.1716 0.0000 0.4280
```

Largest 12 diffraction maxima, in order of rising 2θ, 10° ≤ 2θ ≤ 80°:
2θ 17.31, intensity 182, (2 0 0)
2θ 29.55, intensity 515, (0 0 2)
2θ 29.87, intensity 1000, (2 2 0)
2θ 30.62, intensity 466, (4 0 -2)
2θ 34.61, intensity 401, (2 2 -2)
2θ 35.04, intensity 189, (4 0 0)
2θ 49.41, intensity 491, (2 2 2)
2θ 50.04, intensity 156, (4 0 -4)
2θ 50.77, intensity 300, (6 2 -2)
2θ 58.72, intensity 284, (0 4 2)
2θ 59.31, intensity 137, (4 4 -2)
2θ 59.99, intensity 134, (6 2 -4)

This entry pairs a crystal structure of Co7As2O12 with its calculated X-ray powder pattern. Radiation: a wavelength of 1.5418 Å. Structure: a GGA+U-relaxed structure.

Cell and atoms:
```
data_Co7As2O12
_symmetry_space_group_name_H-M 'I m m a'
_symmetry_Int_Tables_number 74
_symmetry_space_group_name_Hall '-I 2b 2'
_cell_length_a 5.9211
_cell_length_b 18.3062
_cell_length_c 8.5638
_cell_angle_alpha 90.00
_cell_angle_beta 90.00
_cell_angle_gamma 90.00
loop_
_atom_site_label
_atom_site_fract_x
_atom_site_fract_y
_atom_site_fract_z
Co1 0.0000 0.0718 0.1291
Co2 0.0000 0.1639 0.4803
Co3 0.2500 0.0881 0.7500
Co4 0.2500 0.2500 0.7500
As1 0.0000 0.0000 0.5000
As2 0.0000 0.2500 0.1224
O1 0.0000 0.0092 0.7190
O2 0.0000 0.1691 0.7224
O3 0.0000 0.1712 0.2353
O4 0.2198 0.0741 0.4960
O5 0.2422 0.2500 0.0087
```

Largest 12 diffraction maxima, in order of rising 2θ, 10° ≤ 2θ ≤ 80°:
2θ 26.14, intensity 277, (1 1 2)
2θ 31.72, intensity 396, (0 1 3)
2θ 32.37, intensity 560, (2 1 1)
2θ 34.69, intensity 1000, (1 6 1)
2θ 34.89, intensity 455, (1 0 3)
2θ 35.65, intensity 294, (1 5 2)
2θ 40.58, intensity 238, (2 5 1)
2θ 42.55, intensity 338, (2 6 0)
2θ 56.57, intensity 267, (3 6 1)
2θ 60.71, intensity 182, (0 12 0)
2θ 61.49, intensity 740, (2 6 4)
2θ 62.78, intensity 203, (4 0 0)